Calculated powder XRD pattern
Compound: La3TlH
Radiation: Cu Kα X-rays
Structure: a crystal structure in Alexandria, relaxed with GGA-PBE

Structural model:
Lattice parameters (Å, degrees): 9.028 9.028 6.209 103.07 103.07 33.85
Fractional coordinates of all 10 atoms:
La (0.040, 0.040, 0.277)
La (0.190, 0.190, 0.935)
La (0.322, 0.322, 0.493)
La (0.678, 0.678, 0.507)
La (0.810, 0.810, 0.065)
La (0.960, 0.960, 0.723)
Tl (0.419, 0.419, 0.071)
Tl (0.581, 0.581, 0.929)
H (0.182, 0.182, 0.528)
H (0.818, 0.818, 0.472)

The 10 most intense peaks (2θ = 10–90°), by angle:
two_theta, I/Imax
14.68, 19
28.99, 33
29.58, 92
31.63, 16
32.16, 100
33.57, 23
34.12, 47
45.37, 20
56.08, 18
59.85, 16